Simulated powder diffractogram of Pu4Ge5Os2 for Cu Kα, from a crystal structure in Alexandria, relaxed with GGA-PBE.

Crystal structure
a = 7.104 Å, b = 3.960 Å, c = 8.322 Å
α = 90.00°, β = 91.40°, γ = 90.00°
Sites, in units of the cell vectors:
Pu 0.218 0.000 0.354
Pu 0.239 0.000 0.896
Pu 0.761 0.000 0.104
Pu 0.782 0.000 0.646
Ge 0.126 0.500 0.620
Ge 0.441 0.500 0.153
Ge 0.500 0.500 0.500
Ge 0.559 0.500 0.847
Ge 0.874 0.500 0.380
Os 0.082 0.500 0.136
Os 0.918 0.500 0.864

Principal peaks in the range 2θ from 10° to 90°, sorted by position:
hkl, 2θ (°), I_rel
0 0 1, 10.63, 12
1 0 0, 12.46, 18
1 0 -2, 24.53, 14
2 0 0, 25.07, 16
1 1 -2, 33.50, 45
1 1 2, 33.90, 100
3 0 -2, 43.52, 30
3 0 2, 44.50, 15
0 2 0, 45.81, 22
2 1 -4, 55.74, 10
3 2 -2, 65.04, 18
3 2 2, 65.78, 11